# 1
Starting from a GGA-PBE-relaxed structure, the powder XRD pattern of CaBi2O6 was computed for CuKα.

Cell: 8.1691 5.9156 5.6718 Å, 90.00 90.00 90.00°
Element x y z (fractional)
Ca1 0.0000 0.1724 0.0000
Ca2 0.5000 0.8276 0.5000
Bi1 0.2502 0.2630 0.4824
Bi2 0.2498 0.7370 0.9824
Bi3 0.7498 0.2630 0.4824
Bi4 0.7502 0.7370 0.9824
O1 0.0000 0.2786 0.6050
O2 0.0000 0.7918 0.8800
O3 0.1893 0.4307 0.1578
O4 0.1968 0.9610 0.2746
O5 0.3032 0.0390 0.7746
O6 0.3107 0.5693 0.6578
O7 0.5000 0.2082 0.3800
O8 0.5000 0.7214 0.1050
O9 0.6893 0.5693 0.6578
O10 0.6968 0.0390 0.7746
O11 0.8032 0.9610 0.2746
O12 0.8107 0.4307 0.1578

The 10 most intense peaks (10 to 80 degrees two-theta), by angle:
2θ/deg, d (Å), I/Imax
21.7, 4.091, 100.0
30.2, 2.958, 16.6
30.9, 2.892, 64.8
31.5, 2.836, 14.9
37.5, 2.396, 11.3
38.7, 2.329, 11.5
44.2, 2.047, 15.7
49.9, 1.829, 33.0
54.1, 1.695, 12.9
55.8, 1.648, 16.2

=====

# 2
Starting from a GGA-PBE-relaxed structure, the powder XRD pattern of CaBi4O9 was computed for CuKα.

Cell: 8.4389 5.7940 11.6608 Å, 90.00 130.60 90.00°
Element x y z (fractional)
Ca1 0.0000 0.2367 0.2500
Ca2 0.0000 0.7633 0.7500
Bi1 0.2087 0.3101 0.0556
Bi2 0.2087 0.6899 0.5556
Bi3 0.3894 0.2447 0.8587
Bi4 0.3894 0.7553 0.3587
Bi5 0.6106 0.2447 0.6413
Bi6 0.6106 0.7553 0.1413
Bi7 0.7913 0.3101 0.4444
Bi8 0.7913 0.6899 0.9444
O1 0.1071 0.4083 0.6343
O2 0.1071 0.5917 0.1343
O3 0.2065 0.0932 0.1957
O4 0.2065 0.9068 0.6957
O5 0.2736 0.0467 0.9620
O6 0.2736 0.9533 0.4620
O7 0.2874 0.4791 0.4437
O8 0.2874 0.5209 0.9437
O9 0.5000 0.4689 0.2500
O10 0.5000 0.5311 0.7500
O11 0.7126 0.4791 0.0563
O12 0.7126 0.5209 0.5563
O13 0.7264 0.0467 0.5380
O14 0.7264 0.9533 0.0380
O15 0.7935 0.0932 0.3043
O16 0.7935 0.9068 0.8043
O17 0.8929 0.4083 0.8657
O18 0.8929 0.5917 0.3657

The 10 most intense peaks (10 to 80 degrees two-theta), by angle:
2θ/deg, d (Å), I/Imax
26.7, 3.336, 100.0
28.8, 3.095, 80.6
30.9, 2.897, 21.2
32.6, 2.746, 23.9
33.1, 2.705, 21.1
44.4, 2.040, 18.1
45.5, 1.993, 23.2
45.9, 1.977, 24.1
53.5, 1.714, 15.6
54.2, 1.694, 17.0

=====

# 3
Starting from a GGA-PBE-relaxed structure, the powder XRD pattern of CaBi2O4 was computed for CuKα.

Cell: 5.9662 5.9662 11.4407 Å, 90.00 90.00 146.81°
Element x y z (fractional)
Ca1 0.1136 0.8864 0.7500
Ca2 0.8864 0.1136 0.2500
Bi1 0.3676 0.6324 0.5773
Bi2 0.3676 0.6324 0.9227
Bi3 0.6324 0.3676 0.0773
Bi4 0.6324 0.3676 0.4227
O1 0.0000 0.0000 0.0000
O2 0.0000 0.0000 0.5000
O3 0.2751 0.7249 0.1207
O4 0.2751 0.7249 0.3793
O5 0.4723 0.5277 0.7500
O6 0.5277 0.4723 0.2500
O7 0.7249 0.2751 0.6207
O8 0.7249 0.2751 0.8793

The 10 most intense peaks (10 to 80 degrees two-theta), by angle:
2θ/deg, d (Å), I/Imax
15.5, 5.720, 38.4
17.3, 5.115, 34.3
27.3, 3.266, 35.4
28.1, 3.173, 100.0
31.3, 2.859, 32.5
35.3, 2.541, 30.8
36.2, 2.480, 51.5
38.8, 2.322, 26.1
53.8, 1.705, 30.7
53.9, 1.700, 29.4

=====

# 4
Starting from a GGA-PBE-relaxed structure, the powder XRD pattern of CaBi2O4 was computed for CuKα.

Cell: 7.0259 7.0259 23.3147 Å, 98.75 98.75 59.95°
Element x y z (fractional)
Ca1 0.0000 0.0000 0.0000
Ca2 0.2498 0.2498 0.7493
Ca3 0.3757 0.3757 0.6250
Ca4 0.5006 0.5006 0.5003
Ca5 0.5297 0.5297 0.0948
Ca6 0.6262 0.6262 0.3763
Ca7 0.7508 0.7508 0.2509
Ca8 0.7791 0.7791 0.8440
Bi1 0.0004 0.5008 0.5004
Bi2 0.0287 0.0287 0.5923
Bi3 0.1257 0.1257 0.8716
Bi4 0.2224 0.2224 0.1557
Bi5 0.2502 0.7490 0.7490
Bi6 0.2570 0.7496 0.2513
Bi7 0.2792 0.2792 0.3434
Bi8 0.4728 0.4728 0.9059
Bi9 0.5008 0.0004 0.5004
Bi10 0.5059 0.9994 0.9998
Bi11 0.7226 0.7226 0.6575
Bi12 0.7490 0.2502 0.7490
Bi13 0.7496 0.2570 0.2513
Bi14 0.8764 0.8764 0.1232
Bi15 0.9723 0.9723 0.4075
Bi16 0.9994 0.5059 0.9998
O1 0.0517 0.5833 0.1906
O2 0.0584 0.0584 0.1890
O3 0.0654 0.0654 0.6917
O4 0.0864 0.5526 0.6896
O5 0.1611 0.6999 0.0606
O6 0.1842 0.1842 0.0573
O7 0.1984 0.1984 0.5614
O8 0.1989 0.6629 0.5604
O9 0.3028 0.8307 0.9404
O10 0.3098 0.3098 0.9388
O11 0.3160 0.3160 0.4428
O12 0.3383 0.8020 0.4399
O13 0.4102 0.9518 0.8102
O14 0.4350 0.4350 0.8055
O15 0.4474 0.9141 0.3110
O16 0.4488 0.4488 0.3113
O17 0.5526 0.0864 0.6896
O18 0.5544 0.5544 0.6886
O19 0.5652 0.5652 0.1958
O20 0.5833 0.0517 0.1906
O21 0.6629 0.1989 0.5604
O22 0.6853 0.6853 0.5572
O23 0.6974 0.6974 0.0606
O24 0.6999 0.1611 0.0606
O25 0.8020 0.3383 0.4399
O26 0.8033 0.8033 0.4389
O27 0.8143 0.8143 0.9447
O28 0.8307 0.3028 0.9404
O29 0.9141 0.4474 0.3110
O30 0.9345 0.9345 0.3085
O31 0.9470 0.9470 0.8108
O32 0.9518 0.4102 0.8102

The 10 most intense peaks (10 to 80 degrees two-theta), by angle:
2θ/deg, d (Å), I/Imax
15.4, 5.740, 13.9
25.3, 3.514, 34.5
29.8, 2.995, 100.0
31.2, 2.868, 20.7
44.7, 2.028, 15.5
47.5, 1.912, 39.4
52.1, 1.756, 38.3
62.0, 1.498, 10.6
73.1, 1.294, 11.9
73.2, 1.293, 12.0

=====

# 5
Starting from a GGA-PBE-relaxed structure, the powder XRD pattern of CaBi2O4 was computed for CuKα.

Cell: 7.0593 7.0593 17.3097 Å, 90.00 90.00 120.00°
Element x y z (fractional)
Ca1 0.0000 0.0000 0.0000
Ca2 0.0000 0.0000 0.2472
Ca3 0.0000 0.0000 0.6235
Ca4 0.3333 0.6667 0.5812
Ca5 0.6667 0.3333 0.2912
Ca6 0.6667 0.3333 0.9164
Bi1 0.1674 0.3348 0.7922
Bi2 0.1674 0.8326 0.7922
Bi3 0.3278 0.1639 0.4595
Bi4 0.3333 0.6667 0.3360
Bi5 0.3333 0.6667 0.9623
Bi6 0.5030 0.0060 0.1275
Bi7 0.5030 0.4970 0.1275
Bi8 0.6652 0.8326 0.7922
Bi9 0.6667 0.3333 0.6690
Bi10 0.8361 0.1639 0.4595
Bi11 0.8361 0.6722 0.4595
Bi12 0.9940 0.4970 0.1275
O1 0.0000 0.0000 0.3837
O2 0.0000 0.0000 0.8675
O3 0.0192 0.5096 0.8698
O4 0.1526 0.3052 0.5365
O5 0.1526 0.8474 0.5365
O6 0.1775 0.3550 0.0423
O7 0.1775 0.8225 0.0423
O8 0.3129 0.1564 0.7096
O9 0.3333 0.6667 0.2055
O10 0.3333 0.6667 0.7156
O11 0.3589 0.1794 0.2038
O12 0.4904 0.5096 0.8698
O13 0.4904 0.9808 0.8698
O14 0.5100 0.0201 0.3762
O15 0.5100 0.4900 0.3762
O16 0.6450 0.8225 0.0423
O17 0.6667 0.3333 0.0513
O18 0.6667 0.3333 0.5385
O19 0.6948 0.8474 0.5365
O20 0.8206 0.1794 0.2038
O21 0.8206 0.6411 0.2038
O22 0.8436 0.1564 0.7096
O23 0.8436 0.6871 0.7096
O24 0.9799 0.4900 0.3762

The 10 most intense peaks (10 to 80 degrees two-theta), by angle:
2θ/deg, d (Å), I/Imax
15.4, 5.768, 42.5
25.2, 3.532, 15.0
29.7, 3.011, 100.0
31.0, 2.883, 40.7
36.0, 2.497, 24.8
47.3, 1.922, 40.0
51.8, 1.765, 43.2
60.8, 1.523, 13.7
61.6, 1.506, 20.1
72.7, 1.300, 23.6

=====

# 6
Starting from a GGA-PBE-relaxed structure, the powder XRD pattern of Ca4Bi2O was computed for CuKα.

Cell: 9.0014 9.0014 9.0014 Å, 149.31 149.31 43.96°
Element x y z (fractional)
Ca1 0.0000 0.5000 0.5000
Ca2 0.1644 0.1644 0.0000
Ca3 0.5000 0.0000 0.5000
Ca4 0.8356 0.8356 0.0000
Bi1 0.3595 0.3595 0.0000
Bi2 0.6405 0.6405 0.0000
O1 0.0000 0.0000 0.0000

The 10 most intense peaks (10 to 80 degrees two-theta), by angle:
2θ/deg, d (Å), I/Imax
19.4, 4.581, 62.7
21.3, 4.174, 33.9
24.6, 3.619, 79.9
26.5, 3.369, 72.0
28.6, 3.124, 23.2
34.2, 2.621, 100.0
37.8, 2.382, 55.5
42.4, 2.133, 27.6
45.6, 1.990, 33.1
65.9, 1.417, 30.1

=====

# 7
Starting from a GGA-PBE-relaxed structure, the powder XRD pattern of Ca2Bi10O17 was computed for CuKα.

Cell: 7.8791 7.8791 9.8701 Å, 99.28 99.28 61.78°
Element x y z (fractional)
Ca1 0.0000 0.0000 0.0000
Ca2 0.5013 0.5013 0.9961
Bi1 0.1062 0.1062 0.6559
Bi2 0.1481 0.6201 0.6655
Bi3 0.3725 0.3725 0.2979
Bi4 0.4006 0.8653 0.3040
Bi5 0.4953 0.9972 0.9968
Bi6 0.6201 0.1481 0.6655
Bi7 0.6442 0.6442 0.6617
Bi8 0.8653 0.4006 0.3040
Bi9 0.8742 0.8742 0.3001
Bi10 0.9972 0.4953 0.9968
O1 0.0379 0.0379 0.2554
O2 0.0531 0.5418 0.2481
O3 0.1368 0.1368 0.8726
O4 0.1866 0.6405 0.8775
O5 0.2608 0.2608 0.6351
O6 0.3309 0.3309 0.0787
O7 0.3324 0.7569 0.6219
O8 0.3674 0.8432 0.0854
O9 0.5238 0.5238 0.2571
O10 0.5418 0.0531 0.2481
O11 0.6405 0.1866 0.8775
O12 0.6466 0.6466 0.8730
O13 0.7188 0.7188 0.3749
O14 0.7569 0.3324 0.6219
O15 0.8355 0.8355 0.0775
O16 0.8432 0.3674 0.0854
O17 0.8785 0.8785 0.6869

The 10 most intense peaks (10 to 80 degrees two-theta), by angle:
2θ/deg, d (Å), I/Imax
26.5, 3.360, 29.8
26.7, 3.340, 19.5
27.6, 3.231, 59.8
28.3, 3.158, 100.0
29.6, 3.016, 27.0
30.3, 2.953, 48.5
44.8, 2.023, 20.0
46.1, 1.968, 27.9
47.9, 1.899, 30.0
53.4, 1.714, 18.5

=====

# 8
Starting from a GGA-PBE-relaxed structure, the powder XRD pattern of CaBi2O4 was computed for CuKα.

Cell: 3.4374 11.4828 11.3840 Å, 90.00 90.00 90.00°
Element x y z (fractional)
Ca1 0.1912 0.1350 0.2500
Ca2 0.1912 0.3650 0.7500
Ca3 0.8088 0.6350 0.2500
Ca4 0.8088 0.8650 0.7500
Bi1 0.2882 0.6188 0.5774
Bi2 0.2882 0.6188 0.9226
Bi3 0.2882 0.8812 0.0774
Bi4 0.2882 0.8812 0.4226
Bi5 0.7118 0.1188 0.5774
Bi6 0.7118 0.1188 0.9226
Bi7 0.7118 0.3812 0.0774
Bi8 0.7118 0.3812 0.4226
O1 0.2622 0.2500 0.0000
O2 0.2622 0.2500 0.5000
O3 0.2746 0.5235 0.1207
O4 0.2746 0.5235 0.3793
O5 0.2746 0.9765 0.6207
O6 0.2746 0.9765 0.8793
O7 0.3110 0.7251 0.7500
O8 0.3110 0.7749 0.2500
O9 0.6890 0.2251 0.7500
O10 0.6890 0.2749 0.2500
O11 0.7254 0.0235 0.1207
O12 0.7254 0.0235 0.3793
O13 0.7254 0.4765 0.6207
O14 0.7254 0.4765 0.8793
O15 0.7378 0.7500 0.0000
O16 0.7378 0.7500 0.5000

The 10 most intense peaks (10 to 80 degrees two-theta), by angle:
2θ/deg, d (Å), I/Imax
15.6, 5.692, 30.2
17.3, 5.126, 28.5
27.1, 3.293, 28.5
28.2, 3.165, 100.0
31.2, 2.871, 25.3
31.4, 2.851, 17.3
35.1, 2.559, 31.8
36.1, 2.487, 26.1
38.6, 2.332, 22.3
42.7, 2.119, 23.5

=====

# 9
Starting from a GGA-PBE-relaxed structure, the powder XRD pattern of CaBi2O5 was computed for CuKα.

Cell: 8.7064 8.7064 11.3497 Å, 90.04 90.04 83.52°
Element x y z (fractional)
Ca1 0.1764 0.8236 0.7500
Ca2 0.1961 0.4726 0.9287
Ca3 0.4726 0.1961 0.4287
Ca4 0.5274 0.8039 0.5713
Ca5 0.8039 0.5274 0.0713
Ca6 0.8236 0.1764 0.2500
Bi1 0.1388 0.8554 0.0571
Bi2 0.1446 0.8612 0.4429
Bi3 0.1506 0.5139 0.2480
Bi4 0.2015 0.4747 0.5681
Bi5 0.4747 0.2015 0.0681
Bi6 0.4861 0.8494 0.2520
Bi7 0.5139 0.1506 0.7480
Bi8 0.5253 0.7985 0.9319
Bi9 0.7985 0.5253 0.4319
Bi10 0.8494 0.4861 0.7520
Bi11 0.8554 0.1388 0.5571
Bi12 0.8612 0.1446 0.9429
O1 0.0337 0.9511 0.8936
O2 0.0398 0.6348 0.0911
O3 0.0411 0.6352 0.4121
O4 0.0489 0.9663 0.6064
O5 0.0678 0.5784 0.7479
O6 0.2541 0.7459 0.2500
O7 0.2824 0.3842 0.1187
O8 0.2834 0.3971 0.3842
O9 0.2908 0.7062 0.5737
O10 0.2938 0.7092 0.9263
O11 0.3648 0.9589 0.0879
O12 0.3651 0.9602 0.4089
O13 0.3842 0.2824 0.6187
O14 0.3971 0.2834 0.8842
O15 0.4216 0.9322 0.7521
O16 0.5784 0.0678 0.2479
O17 0.6029 0.7166 0.1158
O18 0.6158 0.7176 0.3813
O19 0.6348 0.0398 0.5911
O20 0.6352 0.0411 0.9121
O21 0.7062 0.2908 0.0737
O22 0.7092 0.2938 0.4263
O23 0.7166 0.6029 0.6158
O24 0.7176 0.6158 0.8813
O25 0.7459 0.2541 0.7500
O26 0.9322 0.4216 0.2521
O27 0.9511 0.0337 0.3936
O28 0.9589 0.3648 0.5879
O29 0.9602 0.3651 0.9089
O30 0.9663 0.0489 0.1064

The 10 most intense peaks (10 to 80 degrees two-theta), by angle:
2θ/deg, d (Å), I/Imax
12.9, 6.878, 43.3
15.3, 5.798, 31.3
20.8, 4.271, 20.1
21.9, 4.053, 100.0
28.2, 3.168, 78.8
31.0, 2.884, 51.5
32.4, 2.767, 61.5
41.7, 2.165, 25.4
50.8, 1.799, 33.4
51.1, 1.787, 30.9

=====

> What is the formula in the eighth record?

CaBi2O4

=====

> Number 6 is which compound?

Ca4Bi2O